[1]
Ca2VBr6: theoretical powder diffractogram (Cu Kα, 1.54184 Å), based on a PBE-relaxed structure.

Principal peaks in the range 10 to 90 degrees two-theta, sorted by position:
2θ = 14.8°, I = 29, (1 0 1)
2θ = 28.0°, I = 15, (0 0 6)
2θ = 28.3°, I = 100, (1 1 3)
2θ = 37.6°, I = 33, (2 -1 6)
2θ = 43.2°, I = 27, (3 0 0)
2θ = 49.8°, I = 20, (1 1 9)
2θ = 52.3°, I = 9, (3 0 6)
2θ = 52.4°, I = 11, (4 -2 3)

Crystal structure
```
data_Ca2VBr6
_space_group_name_H-M_alt 'R -3'
_space_group_IT_number 148
_space_group_name_Hall '-R 3'
_cell_length_a 7.2605
_cell_length_b 7.2605
_cell_length_c 19.1006
_cell_angle_alpha 90.00
_cell_angle_beta 90.00
_cell_angle_gamma 120.00
loop_
_atom_site_label
_atom_site_type_symbol
_atom_site_fract_x
_atom_site_fract_y
_atom_site_fract_z
Ca1 Ca 0.0000 0.0000 0.1879
V1 V 0.0000 0.0000 0.0000
Br1 Br 0.0142 0.3021 0.0819
```

[2]
Tc2Rh: theoretical powder diffractogram (Cu Kα, 1.54184 Å), based on a PBE-relaxed structure.

Principal peaks in the range 10 to 90 degrees two-theta, sorted by position:
2θ = 40.5°, I = 100, (2 0 2)
2θ = 46.8°, I = 33, (2 2 -1)
2θ = 47.5°, I = 16, (0 0 6)
2θ = 68.4°, I = 10, (0 4 0)
2θ = 69.0°, I = 20, (2 2 5)
2θ = 82.6°, I = 24, (4 2 1)
2θ = 83.6°, I = 12, (2 0 8)
2θ = 87.5°, I = 11, (4 0 4)

Crystal structure
```
data_Tc2Rh
_space_group_name_H-M_alt 'C 1 2/c 1'
_space_group_IT_number 15
_space_group_name_Hall '-C 2yc'
_cell_length_a 5.4870
_cell_length_b 5.4832
_cell_length_c 11.7980
_cell_angle_alpha 90.00
_cell_angle_beta 103.41
_cell_angle_gamma 90.00
loop_
_atom_site_label
_atom_site_type_symbol
_atom_site_fract_x
_atom_site_fract_y
_atom_site_fract_z
Tc1 Tc 0.0821 0.1245 0.4158
Tc2 Tc 0.2487 0.1241 0.7513
Rh1 Rh 0.0828 0.3754 0.9160
```